For Hf5Zr4Ti, a crystal structure in Alexandria, relaxed with GGA-PBE gives the computed powder diffraction line list in this record (Cu Kα (λ = 1.5418 Å)).
No peak broadening, texture or thermal motion is included.

Structural model:
Cell: 7.773 7.773 10.024 Å, 109.62 109.62 22.99°
Positions (direct):
1 Hf 0.000 0.000 0.000
2 Hf 0.292 0.292 0.390
3 Hf 0.308 0.308 0.913
4 Hf 0.692 0.692 0.087
5 Hf 0.708 0.708 0.610
6 Zr 0.104 0.104 0.794
7 Zr 0.408 0.408 0.698
8 Zr 0.592 0.592 0.302
9 Zr 0.896 0.896 0.206
10 Ti 0.000 0.000 0.500

Largest 12 diffraction maxima, in order of falling intensity, 10 to 80 degrees two-theta:
35.87 deg, I 100
36.39 deg, I 81
36.24 deg, I 44
34.52 deg, I 37
71.64 deg, I 26
34.03 deg, I 20
37.59 deg, I 19
59.68 deg, I 19
12.37 deg, I 17
50.82 deg, I 15
53.71 deg, I 14
71.95 deg, I 12